Simulated X-ray powder pattern of CaI2O6 for Cu Kα, from a cell relaxed with PBE.

Cell and atoms:
Lattice parameters (Å, degrees): 4.356 5.611 7.207 72.68 74.46 70.50
Space group P-1 (No. 2)
Unique sites:
Ca: 0.000 0.000 0.000 x1
I: 0.185 0.276 0.331 x2
O: 0.043 0.633 0.272 x2
O: 0.195 0.806 0.662 x2
O: 0.386 0.197 0.090 x2

The 10 most intense peaks (2θ = 10–80°), low angle first:
2θ/deg  intensity  hkl
19.13  34  0 1 1
22.04  24  1 0 0
23.47  41  1 0 1
24.00  100  0 1 -1
28.07  41  0 1 2
29.12  20  1 1 2
34.87  21  0 2 0
40.02  20  0 0 3
41.55  28  2 1 1
51.83  16  1 3 0

---

Simulated X-ray powder pattern of Cs2BaYI6 for Cu Kα, from a cell relaxed with PBE.

Cell and atoms:
Lattice parameters (Å, degrees): 8.829 12.894 9.463 90.00 90.00 90.00
Space group Pmmn (No. 59, origin choice 2)
Unique sites:
Cs: 0.250 0.035 0.203 x4
Ba: 0.250 0.250 0.721 x2
Y: 0.250 0.750 0.776 x2
I: 0.001 0.750 0.551 x4
I: 0.010 0.750 0.011 x4
I: 0.250 0.512 0.774 x4

The 10 most intense peaks (2θ = 10–80°), low angle first:
2θ/deg  intensity  hkl
13.72  22  0 2 0
19.46  10  1 2 1
23.32  37  0 2 2
24.44  42  2 2 0
27.65  100  0 4 0
39.51  43  2 4 2
40.88  14  4 0 0
47.63  17  0 4 4
50.10  15  4 4 0
73.55  11  6 4 2

---

Simulated X-ray powder pattern of KSn2Hg for Cu Kα, from a cell relaxed with PBE.

Cell and atoms:
Lattice parameters (Å, degrees): 6.649 18.519 4.356 90.00 90.00 90.00
Space group Pbam (No. 55)
Unique sites:
K: 0.208 0.098 0.000 x4
Sn: 0.040 0.749 0.500 x4
Sn: 0.211 0.327 0.000 x4
Hg: 0.204 0.449 0.500 x4

The 10 most intense peaks (2θ = 10–80°), low angle first:
2θ/deg  intensity  hkl
16.41  66  1 2 0
20.39  17  0 0 1
28.13  42  0 4 1
28.51  27  2 2 0
31.24  100  1 4 1
31.97  24  1 6 0
35.32  60  2 2 1
35.65  26  0 6 1
41.46  27  0 0 2
65.14  29  4 5 1

---

Simulated X-ray powder pattern of SnPbAu3 for Cu Kα, from a cell relaxed with PBE.

Cell and atoms:
Lattice parameters (Å, degrees): 9.677 5.928 8.111 90.00 96.86 90.00
Space group P2_1/c (No. 14)
Unique sites:
Sn: 0.078 0.222 0.373 x4
Pb: 0.401 0.607 0.811 x4
Au: 0.123 0.698 0.411 x4
Au: 0.253 0.018 0.646 x4
Au: 0.373 0.127 0.975 x4

The 10 most intense peaks (2θ = 10–80°), low angle first:
2θ/deg  intensity  hkl
27.25  30  2 1 1
31.13  27  2 1 -2
32.55  37  3 1 -1
33.61  61  3 0 -2
33.92  34  1 2 1
34.24  43  2 1 2
36.71  100  0 1 3
36.94  60  1 1 -3
37.93  54  3 0 2
38.04  40  2 2 1

---

Simulated X-ray powder pattern of K2DyZn2S4 for Cu Kα, from a cell relaxed with PBE.

Cell and atoms:
Lattice parameters (Å, degrees): 15.682 3.877 7.883 90.00 113.59 90.00
Space group C2/m (No. 12)
Unique sites:
K: 0.127 0.000 0.059 x4
Dy: 0.000 0.000 0.500 x2
Zn: 0.185 0.500 0.524 x4
S: 0.033 0.500 0.284 x4
S: 0.189 0.000 0.713 x4

The 10 most intense peaks (2θ = 10–80°), low angle first:
2θ/deg  intensity  hkl
12.26  100  0 0 1
24.64  16  0 0 2
29.09  40  3 1 -1
31.95  21  4 0 1
32.60  14  1 1 -2
33.59  42  3 1 -2
34.41  12  6 0 -1
35.03  25  3 1 1
41.70  17  3 1 -3
46.89  20  0 2 0

---

Simulated X-ray powder pattern of Mn3Zn7 for Cu Kα, from a cell relaxed with PBE.

Cell and atoms:
Lattice parameters (Å, degrees): 13.813 3.865 5.373 90.00 102.93 90.00
Space group C2/m (No. 12)
Unique sites:
Mn: 0.000 0.000 0.000 x2
Mn: 0.199 0.000 0.605 x4
Zn: 0.000 0.000 0.500 x2
Zn: 0.102 0.500 0.308 x4
Zn: 0.102 0.500 0.809 x4
Zn: 0.200 0.000 0.112 x4

The 6 most intense peaks (2θ = 10–80°), low angle first:
2θ/deg  intensity  hkl
40.88  100  5 1 0
47.05  33  0 2 0
48.60  15  4 0 2
68.73  10  6 2 -2
69.92  14  10 0 0
70.09  4  2 0 -4

---

Simulated X-ray powder pattern of Ca2AlGe4Au3 for Cu Kα, from a cell relaxed with PBE.

Cell and atoms:
Lattice parameters (Å, degrees): 4.220 4.220 11.626 90.00 90.00 90.00
Space group P-4m2 (No. 115)
Unique sites:
Ca: 0.000 0.500 0.247 x2
Al: 0.500 0.500 0.000 x1
Ge: 0.000 0.000 0.500 x1
Ge: 0.000 0.500 0.861 x2
Ge: 0.500 0.500 0.500 x1
Au: 0.000 0.000 0.000 x1
Au: 0.000 0.500 0.645 x2

The 10 most intense peaks (2θ = 10–80°), low angle first:
2θ/deg  intensity  hkl
22.41  100  1 0 1
26.09  41  1 0 2
31.34  39  1 0 3
33.76  86  1 1 2
42.86  66  2 0 0
43.46  76  1 1 4
44.49  48  1 0 5
48.89  27  2 1 1
63.48  33  2 1 5
78.93  27  3 1 4

---

Simulated X-ray powder pattern of Li3Ac2CuSn4 for Cu Kα, from a cell relaxed with PBE.

Cell and atoms:
Lattice parameters (Å, degrees): 4.687 4.687 10.962 90.00 90.00 90.00
Space group P-4m2 (No. 115)
Unique sites:
Li: 0.000 0.000 0.000 x1
Li: 0.000 0.500 0.637 x2
Ac: 0.000 0.500 0.239 x2
Cu: 0.500 0.500 0.000 x1
Sn: 0.000 0.000 0.500 x1
Sn: 0.000 0.500 0.881 x2
Sn: 0.500 0.500 0.500 x1

The 10 most intense peaks (2θ = 10–80°), low angle first:
2θ/deg  intensity  hkl
20.61  38  1 0 1
28.13  34  1 1 1
31.03  76  1 0 3
31.55  100  1 1 2
38.41  56  2 0 0
45.69  22  1 0 5
50.18  41  2 1 3
55.45  20  2 2 0
57.61  22  1 1 6
65.21  26  3 1 2

---

Simulated X-ray powder pattern of Sn3Ru2 for Cu Kα, from a cell relaxed with PBE.

Cell and atoms:
Lattice parameters (Å, degrees): 6.242 6.242 10.033 90.00 90.00 90.00
Space group P-4c2 (No. 116)
Unique sites:
Sn: 0.157 0.278 0.416 x8
Sn: 0.321 0.321 0.750 x4
Ru: 0.000 0.000 0.250 x2
Ru: 0.000 0.500 0.125 x4
Ru: 0.500 0.500 0.000 x2

The 10 most intense peaks (2θ = 10–80°), low angle first:
2θ/deg  intensity  hkl
33.32  71  2 1 1
33.62  100  1 1 3
36.85  94  2 1 2
40.89  39  2 2 0
41.40  36  1 1 4
47.30  57  3 0 2
56.48  16  2 1 5
57.55  12  3 0 4
62.00  13  4 1 1
74.82  16  3 3 4

---

Simulated X-ray powder pattern of CsHSO4 for Cu Kα, from a cell relaxed with PBE.

Cell and atoms:
Lattice parameters (Å, degrees): 7.773 8.225 7.960 90.00 104.91 90.00
Space group P2_1/c (No. 14)
Unique sites:
Cs: 0.215 0.127 0.183 x4
H: 0.352 0.656 0.987 x4
S: 0.248 0.639 0.218 x4
O: 0.096 0.740 0.130 x4
O: 0.200 0.006 0.802 x4
O: 0.338 0.568 0.075 x4
O: 0.390 0.737 0.337 x4

The 10 most intense peaks (2θ = 10–80°), low angle first:
2θ/deg  intensity  hkl
17.85  21  1 1 -1
23.12  54  0 0 2
23.69  58  2 0 0
24.54  100  0 2 1
28.63  83  2 0 -2
32.16  46  2 2 -1
36.46  30  2 2 1
45.88  16  1 2 3
50.59  17  2 4 0
52.03  15  4 2 -1

---

Simulated X-ray powder pattern of Pm2HPb2 for Cu Kα, from a cell relaxed with PBE.

Cell and atoms:
Lattice parameters (Å, degrees): 4.177 15.831 8.291 90.00 90.00 90.00
Space group Cmc2_1 (No. 36)
Unique sites:
Pm: 0.000 0.039 0.000 x4
Pm: 0.000 0.348 0.844 x4
H: 0.000 0.084 0.306 x4
Pb: 0.000 0.298 0.468 x4
Pb: 0.000 0.429 0.201 x4

The 10 most intense peaks (2θ = 10–80°), low angle first:
2θ/deg  intensity  hkl
24.93  39  0 4 1
27.23  73  1 3 0
29.32  100  1 3 1
30.91  58  1 1 2
34.37  57  0 2 3
34.91  62  1 3 2
35.71  44  0 6 1
37.25  42  1 5 1
39.51  41  1 1 3
43.32  40  2 0 0

---

Simulated X-ray powder pattern of SrRuO3 for Cu Kα, from a cell relaxed with PBE.

Cell and atoms:
Lattice parameters (Å, degrees): 6.223 3.251 6.608 90.00 103.60 90.00
Space group P2_1/m (No. 11)
Unique sites:
Sr: 0.154 0.250 0.297 x2
Ru: 0.361 0.750 0.867 x2
O: 0.162 0.250 0.896 x2
O: 0.224 0.750 0.581 x2
O: 0.441 0.750 0.186 x2

The 10 most intense peaks (2θ = 10–80°), low angle first:
2θ/deg  intensity  hkl
13.79  33  0 0 1
17.62  30  1 0 -1
28.23  43  1 0 -2
29.54  51  2 0 -1
30.83  78  0 1 1
35.68  27  2 0 1
40.75  100  2 1 0
44.68  29  1 1 2
48.32  27  1 0 3
50.29  39  1 1 -3